[1]
Computed powder diffraction line list of RbCrGaTe4 for a wavelength of 1.5418 Å, from a GGA-PBE-relaxed structure.
Kinematic intensities with the Lorentz-polarization factor, no thermal factor.

Largest 8 diffraction maxima, by angle, 2θ from 15° to 90°:
two_theta	I/Imax
23.6	47
26.5	93
27.0	100
28.5	72
30.0	33
33.5	49
34.9	34
48.9	53

Structure:
```
data_RbCrGaTe4
_chemical_formula_sum 'Rb2 Cr2 Ga2 Te8'
_space_group_name_H-M_alt 'P 1'
_space_group_IT_number 1
_space_group_name_Hall 'P 1'
_cell_length_a 7.104
_cell_length_b 7.453
_cell_length_c 9.202
_cell_angle_alpha 90.00
_cell_angle_beta 93.00
_cell_angle_gamma 90.00
loop_
_atom_site_label
_atom_site_type_symbol
_atom_site_fract_x
_atom_site_fract_y
_atom_site_fract_z
Rb1 Rb 0.240 0.250 0.052
Rb2 Rb 0.760 0.750 0.948
Cr1 Cr 0.159 0.750 0.460
Cr2 Cr 0.841 0.250 0.540
Ga1 Ga 0.346 0.250 0.648
Ga2 Ga 0.654 0.750 0.352
Te1 Te 0.080 0.503 0.679
Te2 Te 0.080 0.997 0.679
Te3 Te 0.334 0.750 0.195
Te4 Te 0.498 0.750 0.600
Te5 Te 0.502 0.250 0.400
Te6 Te 0.666 0.250 0.805
Te7 Te 0.920 0.003 0.321
Te8 Te 0.920 0.497 0.321
```

---

[2]
Computed powder diffraction line list of CrGa2Rh3 for a wavelength of 1.5418 Å, from a GGA-PBE-relaxed structure.
Kinematic intensities with the Lorentz-polarization factor, no thermal factor.

Largest 8 diffraction maxima, by angle, 2θ from 15° to 90°:
two_theta	I/Imax
29.3	7
29.6	3
42.0	51
42.2	100
60.9	16
61.4	8
76.8	32
77.2	16

Structure:
```
data_CrGa2Rh3
_chemical_formula_sum 'Cr2 Ga4 Rh6'
_space_group_name_H-M_alt 'P 1'
_space_group_IT_number 1
_space_group_name_Hall 'P 1'
_cell_length_a 6.805
_cell_length_b 6.805
_cell_length_c 6.036
_cell_angle_alpha 90.00
_cell_angle_beta 90.00
_cell_angle_gamma 143.11
loop_
_atom_site_label
_atom_site_type_symbol
_atom_site_fract_x
_atom_site_fract_y
_atom_site_fract_z
Cr1 Cr 0.168 0.832 0.000
Cr2 Cr 0.832 0.168 0.000
Ga1 Ga 0.168 0.832 0.500
Ga2 Ga 0.500 0.500 0.000
Ga3 Ga 0.500 0.500 0.500
Ga4 Ga 0.832 0.168 0.500
Rh1 Rh 0.000 0.000 0.254
Rh2 Rh 0.000 0.000 0.746
Rh3 Rh 0.335 0.665 0.253
Rh4 Rh 0.335 0.665 0.747
Rh5 Rh 0.665 0.335 0.253
Rh6 Rh 0.665 0.335 0.747
```

---

[3]
Computed powder diffraction line list of Cr4GaRh7 for a wavelength of 1.5418 Å, from a GGA-PBE-relaxed structure.
Kinematic intensities with the Lorentz-polarization factor, no thermal factor.

Largest 8 diffraction maxima, by angle, 2θ from 15° to 90°:
two_theta	I/Imax
39.1	28
40.5	29
42.4	48
42.6	24
43.3	100
43.6	27
44.0	18
44.7	16

Structure:
```
data_Cr4GaRh7
_chemical_formula_sum 'Cr4 Ga1 Rh7'
_space_group_name_H-M_alt 'P 1'
_space_group_IT_number 1
_space_group_name_Hall 'P 1'
_cell_length_a 4.935
_cell_length_b 4.998
_cell_length_c 7.129
_cell_angle_alpha 89.10
_cell_angle_beta 75.71
_cell_angle_gamma 82.72
loop_
_atom_site_label
_atom_site_type_symbol
_atom_site_fract_x
_atom_site_fract_y
_atom_site_fract_z
Cr1 Cr 0.133 0.325 0.282
Cr2 Cr 0.318 0.859 0.710
Cr3 Cr 0.682 0.141 0.290
Cr4 Cr 0.867 0.675 0.718
Ga1 Ga 0.500 0.500 0.000
Rh1 Rh 0.003 0.750 0.052
Rh2 Rh 0.194 0.835 0.374
Rh3 Rh 0.304 0.352 0.590
Rh4 Rh 0.500 0.000 0.000
Rh5 Rh 0.696 0.648 0.410
Rh6 Rh 0.806 0.165 0.626
Rh7 Rh 0.997 0.250 0.948
```

---

Question: Number 3 is which compound?
Answer: Cr4GaRh7